Starting from a crystal structure in Alexandria, relaxed with PBE, the powder diffraction line list of Ca4TbTa3N8 was calculated for copper Kα.
Kinematic intensities with the Lorentz-polarization factor, no thermal factor.

Atomic structure:
Unit cell a=6.735 b=6.735 c=6.735 alpha=58.03 beta=58.03 gamma=58.03
Fractional positions:
Ca 0.000 0.000 0.000
Ca 0.000 0.500 0.500
Ca 0.500 0.000 0.500
Ca 0.500 0.500 0.000
Tb 0.500 0.500 0.500
Ta 0.000 0.000 0.500
Ta 0.000 0.500 0.000
Ta 0.500 0.000 0.000
N 0.215 0.748 0.748
N 0.238 0.238 0.238
N 0.252 0.252 0.785
N 0.252 0.785 0.252
N 0.748 0.215 0.748
N 0.748 0.748 0.215
N 0.762 0.762 0.762
N 0.785 0.252 0.252

Top 10 peaks for 10° ≤ 2θ ≤ 90°, low angle first:
15.9 deg, d = 5.579 Å, I = 937; 32.1 deg, d = 2.789 Å, I = 807; 33.4 deg, d = 2.680 Å, I = 902; 38.4 deg, d = 2.344 Å, I = 1000; 41.8 deg, d = 2.161 Å, I = 207; 54.6 deg, d = 1.682 Å, I = 337; 56.3 deg, d = 1.633 Å, I = 314; 58.9 deg, d = 1.567 Å, I = 195; 66.3 deg, d = 1.409 Å, I = 333; 70.2 deg, d = 1.340 Å, I = 223